Record 1
NaAg3MoSe4: computed XRD peak list (Cu Kα X-rays), based on a crystal structure in OQMD, relaxed with PBE.

abc: 6.3112 6.3112 6.3112
angles: 90.00 90.00 90.00
Positions (direct):
Na1 0.0000 0.0000 0.0000
Ag1 0.0000 0.5000 0.5000
Ag2 0.5000 0.0000 0.5000
Ag3 0.5000 0.5000 0.0000
Mo1 0.5000 0.5000 0.5000
Se1 0.2725 0.2725 0.2725
Se2 0.2725 0.7275 0.7275
Se3 0.7275 0.2725 0.7275
Se4 0.7275 0.7275 0.2725

Largest 10 diffraction maxima, low angle first, 2θ = 5–70°:
14.03 deg, d = 6.311 Å, intensity 66; 24.43 deg, d = 3.644 Å, intensity 75; 31.70 deg, d = 2.822 Å, intensity 14; 40.42 deg, d = 2.231 Å, intensity 100; 42.99 deg, d = 2.104 Å, intensity 16; 47.80 deg, d = 1.903 Å, intensity 33; 52.26 deg, d = 1.750 Å, intensity 16; 58.50 deg, d = 1.578 Å, intensity 15; 60.48 deg, d = 1.531 Å, intensity 6; 64.34 deg, d = 1.448 Å, intensity 11

=====

Record 2
Sm4Mg3Co2: computed XRD peak list (Cu Kα X-rays), based on a crystal structure in OQMD, relaxed with PBE.

abc: 7.5586 3.7710 8.2512
angles: 90.00 109.77 90.00
Positions (direct):
Sm1 0.0967 0.0000 0.2254
Sm2 0.3969 0.0000 0.6812
Sm3 0.6031 0.0000 0.3188
Sm4 0.9033 0.0000 0.7746
Mg1 0.0000 0.5000 0.5000
Mg2 0.2923 0.5000 0.0015
Mg3 0.7077 0.5000 0.9985
Co1 0.3515 0.5000 0.3944
Co2 0.6485 0.5000 0.6056

Largest 10 diffraction maxima, low angle first, 2θ = 5–70°:
11.40 deg, d = 7.765 Å, intensity 38; 13.75 deg, d = 6.441 Å, intensity 54; 22.91 deg, d = 3.882 Å, intensity 45; 23.59 deg, d = 3.771 Å, intensity 47; 23.73 deg, d = 3.749 Å, intensity 49; 31.00 deg, d = 2.885 Å, intensity 42; 32.55 deg, d = 2.751 Å, intensity 36; 33.12 deg, d = 2.705 Å, intensity 89; 33.71 deg, d = 2.659 Å, intensity 100; 39.32 deg, d = 2.291 Å, intensity 56

=====

Record 3
Ba2OsPbSe6: computed XRD peak list (Cu Kα X-rays), based on a crystal structure in OQMD, relaxed with PBE.

abc: 6.5902 6.8010 7.6990
angles: 69.38 66.48 67.57
Positions (direct):
Ba1 0.2381 0.2738 0.2442
Ba2 0.7619 0.7262 0.7558
Os1 0.5000 0.5000 0.5000
Pb1 0.0000 0.0000 0.0000
Se1 0.1744 0.7392 0.3484
Se2 0.2729 0.6250 0.8181
Se3 0.3464 0.1820 0.6532
Se4 0.6536 0.8180 0.3468
Se5 0.7271 0.3750 0.1819
Se6 0.8256 0.2608 0.6516

Largest 10 diffraction maxima, low angle first, 2θ = 5–70°:
21.64 deg, d = 4.107 Å, intensity 51; 22.91 deg, d = 3.882 Å, intensity 67; 23.94 deg, d = 3.717 Å, intensity 100; 26.53 deg, d = 3.360 Å, intensity 69; 27.23 deg, d = 3.275 Å, intensity 43; 33.82 deg, d = 2.650 Å, intensity 100; 34.40 deg, d = 2.607 Å, intensity 53; 36.23 deg, d = 2.479 Å, intensity 66; 38.07 deg, d = 2.364 Å, intensity 46; 38.65 deg, d = 2.330 Å, intensity 57

=====

Record 4
FeReBIr: computed XRD peak list (Cu Kα X-rays), based on a crystal structure in OQMD, relaxed with PBE.

abc: 5.8187 5.8187 5.8187
angles: 90.00 90.00 90.00
Positions (direct):
Fe1 0.0000 0.0000 0.0000
Fe2 0.0000 0.5000 0.5000
Fe3 0.5000 0.0000 0.5000
Fe4 0.5000 0.5000 0.0000
Re1 0.0000 0.0000 0.5000
Re2 0.0000 0.5000 0.0000
Re3 0.5000 0.0000 0.0000
Re4 0.5000 0.5000 0.5000
B1 0.2500 0.2500 0.7500
B2 0.2500 0.7500 0.2500
B3 0.7500 0.2500 0.2500
B4 0.7500 0.7500 0.7500
Ir1 0.2500 0.2500 0.2500
Ir2 0.2500 0.7500 0.7500
Ir3 0.7500 0.2500 0.7500
Ir4 0.7500 0.7500 0.2500

Largest 5 diffraction maxima, low angle first, 2θ = 5–70°:
26.53 deg, d = 3.359 Å, intensity 63; 30.73 deg, d = 2.909 Å, intensity 1; 44.02 deg, d = 2.057 Å, intensity 100; 52.13 deg, d = 1.754 Å, intensity 32; 64.01 deg, d = 1.455 Å, intensity 16

=====

Record 5
NpBiH: computed XRD peak list (Cu Kα X-rays), based on a crystal structure in OQMD, relaxed with PBE.

abc: 3.8030 3.8030 4.8199
angles: 90.00 90.00 120.00
Positions (direct):
Np1 0.0000 0.0000 0.0000
Bi1 0.6667 0.3333 0.5000
H1 0.3333 0.6667 0.0000

Largest 10 diffraction maxima, low angle first, 2θ = 5–70°:
27.07 deg, d = 3.294 Å, intensity 27; 32.94 deg, d = 2.719 Å, intensity 100; 37.31 deg, d = 2.410 Å, intensity 16; 46.70 deg, d = 1.945 Å, intensity 13; 47.84 deg, d = 1.902 Å, intensity 24; 55.83 deg, d = 1.647 Å, intensity 4; 59.30 deg, d = 1.558 Å, intensity 19; 62.19 deg, d = 1.493 Å, intensity 23; 64.54 deg, d = 1.444 Å, intensity 15; 69.08 deg, d = 1.360 Å, intensity 4

=====

Record 6
SrNb2Bi2O9: computed XRD peak list (Cu Kα X-rays), based on a crystal structure in OQMD, relaxed with PBE.

abc: 12.6663 12.6663 5.5619
angles: 90.00 90.00 25.43
Positions (direct):
Sr1 0.2490 0.7510 0.5000
Sr2 0.7510 0.2490 0.0000
Nb1 0.1646 0.6638 0.9872
Nb2 0.3362 0.8354 0.9872
Nb3 0.6638 0.1646 0.4872
Nb4 0.8354 0.3362 0.4872
Bi1 0.0205 0.5800 0.5179
Bi2 0.4200 0.9795 0.5179
Bi3 0.5800 0.0205 0.0179
Bi4 0.9795 0.4200 0.0179
O1 0.0185 0.6604 0.9654
O2 0.0420 0.0942 0.7434
O3 0.0942 0.0420 0.2434
O4 0.2454 0.2597 0.7518
O5 0.2597 0.2454 0.2518
O6 0.3053 0.6947 0.9607
O7 0.3396 0.9815 0.9654
O8 0.3741 0.4487 0.6824
O9 0.4487 0.3741 0.1824
O10 0.5513 0.6259 0.6824
O11 0.6259 0.5513 0.1824
O12 0.6604 0.0185 0.4654
O13 0.6947 0.3053 0.4607
O14 0.7403 0.7546 0.7518
O15 0.7546 0.7403 0.2518
O16 0.9058 0.9580 0.7434
O17 0.9580 0.9058 0.2434
O18 0.9815 0.3396 0.4654

Largest 10 diffraction maxima, low angle first, 2θ = 5–70°:
7.15 deg, d = 12.356 Å, intensity 24; 25.06 deg, d = 3.553 Å, intensity 16; 28.99 deg, d = 3.080 Å, intensity 100; 32.15 deg, d = 2.784 Å, intensity 34; 36.36 deg, d = 2.471 Å, intensity 11; 46.10 deg, d = 1.969 Å, intensity 19; 49.30 deg, d = 1.848 Å, intensity 21; 55.32 deg, d = 1.661 Å, intensity 18; 55.44 deg, d = 1.657 Å, intensity 16; 60.97 deg, d = 1.520 Å, intensity 10

=====

Record 7
BaAg2SnTe3S: computed XRD peak list (Cu Kα X-rays), based on a crystal structure in OQMD, relaxed with PBE.

abc: 6.9563 7.0061 7.1174
angles: 111.05 116.08 100.72
Positions (direct):
Ba1 0.0000 0.0000 0.0000
Ag1 0.2030 0.6848 0.5223
Ag2 0.8307 0.3132 0.4680
Sn1 0.5192 0.4676 0.9994
Te1 0.1102 0.4998 0.9609
Te2 0.4853 0.4639 0.5901
Te3 0.8895 0.8688 0.4071
S1 0.5505 0.1328 0.0204

Largest 10 diffraction maxima, low angle first, 2θ = 5–70°:
14.87 deg, d = 5.958 Å, intensity 38; 25.67 deg, d = 3.471 Å, intensity 100; 25.91 deg, d = 3.439 Å, intensity 36; 26.10 deg, d = 3.414 Å, intensity 36; 26.92 deg, d = 3.312 Å, intensity 37; 32.11 deg, d = 2.788 Å, intensity 20; 32.33 deg, d = 2.769 Å, intensity 57; 33.42 deg, d = 2.681 Å, intensity 60; 43.82 deg, d = 2.066 Å, intensity 21; 51.71 deg, d = 1.768 Å, intensity 23

=====

Record 8
Nd3Si2S8I: computed XRD peak list (Cu Kα X-rays), based on a crystal structure in OQMD, relaxed with PBE.

abc: 8.8940 8.8940 10.8644
angles: 97.36 97.36 52.43
Positions (direct):
Nd1 0.1000 0.9000 0.7500
Nd2 0.1774 0.4238 0.3184
Nd3 0.4238 0.1774 0.8184
Nd4 0.5762 0.8226 0.1816
Nd5 0.8226 0.5762 0.6816
Nd6 0.9000 0.1000 0.2500
Si1 0.1221 0.1969 0.0287
Si2 0.1969 0.1221 0.5287
Si3 0.8031 0.8779 0.4713
Si4 0.8779 0.8031 0.9713
S1 0.0499 0.2485 0.8367
S2 0.0873 0.7773 0.4583
S3 0.1016 0.6088 0.8525
S4 0.2127 0.3517 0.5859
S5 0.2227 0.9127 0.0417
S6 0.2485 0.0499 0.3367
S7 0.3517 0.2127 0.0859
S8 0.3912 0.8984 0.6475
S9 0.6088 0.1016 0.3525
S10 0.6483 0.7873 0.9141
S11 0.7515 0.9501 0.6633
S12 0.7773 0.0873 0.9583
S13 0.7873 0.6483 0.4141
S14 0.8984 0.3912 0.1475
S15 0.9127 0.2227 0.5417
S16 0.9501 0.7515 0.1633
I1 0.4862 0.5138 0.2500
I2 0.5138 0.4862 0.7500

Largest 10 diffraction maxima, low angle first, 2θ = 5–70°:
16.49 deg, d = 5.377 Å, intensity 100; 22.84 deg, d = 3.894 Å, intensity 39; 24.12 deg, d = 3.690 Å, intensity 69; 26.02 deg, d = 3.424 Å, intensity 53; 29.45 deg, d = 3.033 Å, intensity 36; 32.38 deg, d = 2.765 Å, intensity 77; 34.17 deg, d = 2.624 Å, intensity 34; 37.70 deg, d = 2.386 Å, intensity 36; 38.35 deg, d = 2.347 Å, intensity 38; 38.90 deg, d = 2.315 Å, intensity 39

=====

Record 9
BeInPt2: computed XRD peak list (Cu Kα X-rays), based on a crystal structure in OQMD, relaxed with PBE.

abc: 6.2981 6.2981 6.2981
angles: 90.00 90.00 90.00
Positions (direct):
Be1 0.0000 0.0000 0.0000
Be2 0.0000 0.5000 0.5000
Be3 0.5000 0.0000 0.5000
Be4 0.5000 0.5000 0.0000
In1 0.2500 0.2500 0.7500
In2 0.2500 0.7500 0.2500
In3 0.7500 0.2500 0.2500
In4 0.7500 0.7500 0.7500
Pt1 0.0000 0.0000 0.5000
Pt2 0.0000 0.5000 0.0000
Pt3 0.2500 0.2500 0.2500
Pt4 0.2500 0.7500 0.7500
Pt5 0.5000 0.0000 0.0000
Pt6 0.5000 0.5000 0.5000
Pt7 0.7500 0.2500 0.7500
Pt8 0.7500 0.7500 0.2500

Largest 8 diffraction maxima, low angle first, 2θ = 5–70°:
24.48 deg, d = 3.636 Å, intensity 38; 28.34 deg, d = 3.149 Å, intensity 6; 40.51 deg, d = 2.227 Å, intensity 100; 47.90 deg, d = 1.899 Å, intensity 20; 50.18 deg, d = 1.818 Å, intensity 2; 58.63 deg, d = 1.575 Å, intensity 17; 64.49 deg, d = 1.445 Å, intensity 8; 66.38 deg, d = 1.408 Å, intensity 2

=====

Record 10
TbB3O6: computed XRD peak list (Cu Kα X-rays), based on a crystal structure in OQMD, relaxed with PBE.

abc: 6.2431 6.2431 6.1354
angles: 116.74 116.74 79.67
Positions (direct):
Tb1 0.2020 0.7980 0.7500
Tb2 0.7980 0.2020 0.2500
B1 0.2120 0.3374 0.9069
B2 0.2212 0.7788 0.2500
B3 0.3374 0.2120 0.4069
B4 0.6626 0.7880 0.5931
B5 0.7788 0.2212 0.7500
B6 0.7880 0.6626 0.0931
O1 0.0060 0.7862 0.2971
O2 0.2036 0.3939 0.4900
O3 0.2141 0.5851 0.0013
O4 0.2138 0.9940 0.2029
O5 0.3939 0.2036 0.9900
O6 0.4149 0.7859 0.4987
O7 0.5851 0.2141 0.5013
O8 0.6061 0.7964 0.0100
O9 0.7862 0.0060 0.7971
O10 0.7859 0.4149 0.9987
O11 0.7964 0.6061 0.5100
O12 0.9940 0.2138 0.7029

Largest 10 diffraction maxima, low angle first, 2θ = 5–70°:
18.25 deg, d = 4.861 Å, intensity 100; 22.23 deg, d = 3.999 Å, intensity 37; 22.89 deg, d = 3.885 Å, intensity 40; 28.65 deg, d = 3.116 Å, intensity 43; 29.18 deg, d = 3.061 Å, intensity 33; 30.20 deg, d = 2.960 Å, intensity 29; 32.12 deg, d = 2.786 Å, intensity 47; 45.03 deg, d = 2.013 Å, intensity 32; 45.90 deg, d = 1.977 Å, intensity 26; 49.61 deg, d = 1.837 Å, intensity 31

=====

Record 11
RbLi6TaO6: computed XRD peak list (Cu Kα X-rays), based on a crystal structure in OQMD, relaxed with PBE.

abc: 5.3334 5.3334 5.3334
angles: 101.07 101.07 101.07
Positions (direct):
Rb1 0.0000 0.0000 0.0000
Li1 0.1561 0.5000 0.8439
Li2 0.1561 0.8439 0.5000
Li3 0.5000 0.1561 0.8439
Li4 0.5000 0.8439 0.1561
Li5 0.8439 0.1561 0.5000
Li6 0.8439 0.5000 0.1561
Ta1 0.5000 0.5000 0.5000
O1 0.2284 0.2284 0.5839
O2 0.2284 0.5839 0.2284
O3 0.4161 0.7716 0.7716
O4 0.5839 0.2284 0.2284
O5 0.7716 0.4161 0.7716
O6 0.7716 0.7716 0.4161

Largest 10 diffraction maxima, low angle first, 2θ = 5–70°:
17.44 deg, d = 5.084 Å, intensity 35; 21.58 deg, d = 4.118 Å, intensity 100; 27.60 deg, d = 3.231 Å, intensity 62; 27.88 deg, d = 3.200 Å, intensity 15; 35.31 deg, d = 2.542 Å, intensity 24; 37.84 deg, d = 2.377 Å, intensity 25; 41.76 deg, d = 2.163 Å, intensity 63; 43.98 deg, d = 2.059 Å, intensity 19; 52.72 deg, d = 1.736 Å, intensity 17; 61.67 deg, d = 1.504 Å, intensity 19

=====

Record 12
BeCu2Si: computed XRD peak list (Cu Kα X-rays), based on a crystal structure in OQMD, relaxed with PBE.

abc: 5.6331 5.6331 5.6331
angles: 90.00 90.00 90.00
Positions (direct):
Be1 0.0000 0.0000 0.0000
Be2 0.0000 0.0000 0.5000
Be3 0.0000 0.5000 0.0000
Be4 0.5000 0.0000 0.0000
Cu1 0.2363 0.2363 0.2363
Cu2 0.2363 0.2363 0.7637
Cu3 0.2363 0.7637 0.2363
Cu4 0.2363 0.7637 0.7637
Cu5 0.7637 0.2363 0.2363
Cu6 0.7637 0.2363 0.7637
Cu7 0.7637 0.7637 0.2363
Cu8 0.7637 0.7637 0.7637
Si1 0.0000 0.5000 0.5000
Si2 0.5000 0.0000 0.5000
Si3 0.5000 0.5000 0.0000
Si4 0.5000 0.5000 0.5000

Largest 10 diffraction maxima, low angle first, 2θ = 5–70°:
27.42 deg, d = 3.252 Å, intensity 1; 31.77 deg, d = 2.817 Å, intensity 51; 35.64 deg, d = 2.519 Å, intensity 8; 45.55 deg, d = 1.992 Å, intensity 100; 48.48 deg, d = 1.878 Å, intensity 3; 53.99 deg, d = 1.698 Å, intensity 1; 56.60 deg, d = 1.626 Å, intensity 11; 59.13 deg, d = 1.562 Å, intensity 2; 66.38 deg, d = 1.408 Å, intensity 14; 68.70 deg, d = 1.366 Å, intensity 4